# 1
Simulated powder diffraction line list of YCuSCl2 for Cu Kα, 1.54184 Å, from a cell relaxed with GGA-PBE.

```
YCuSCl2
1.0
5.2000 0.0000 0.0000
0.0000 5.2000 0.0000
0.0000 0.0000 5.3453
Y Cu S Cl
1 1 1 2
Direct
0.0000 0.0000 0.0000 Y
0.5000 0.5000 0.5000 Cu
0.0000 0.0000 0.5000 S
0.0000 0.5000 0.0000 Cl
0.5000 0.0000 0.0000 Cl
```

The 10 most intense peaks (2θ = 15–90°), in order of rising 2θ:
- 17.1 deg, I 25
- 23.9 deg, I 100
- 24.2 deg, I 44
- 29.5 deg, I 27
- 33.5 deg, I 46
- 34.5 deg, I 85
- 42.4 deg, I 44
- 48.9 deg, I 59
- 49.6 deg, I 28
- 61.2 deg, I 28

=====

# 2
Simulated powder diffraction line list of HfH4Ru for Cu Kα, 1.54184 Å, from a cell relaxed with GGA-PBE.

```
HfH4Ru
1.0
3.2327 0.0000 0.0000
0.0000 3.2327 0.0000
0.0000 0.0000 4.4007
Hf H Ru
1 4 1
Direct
0.0000 0.0000 0.0000 Hf
0.0000 0.5000 0.2802 H
0.0000 0.5000 0.7198 H
0.5000 0.0000 0.2802 H
0.5000 0.0000 0.7198 H
0.5000 0.5000 0.5000 Ru
```

The 10 most intense peaks (2θ = 15–90°), in order of rising 2θ:
- 20.2 deg, I 6
- 27.6 deg, I 6
- 34.4 deg, I 100
- 39.4 deg, I 33
- 41.0 deg, I 15
- 57.0 deg, I 12
- 58.2 deg, I 23
- 68.3 deg, I 27
- 70.5 deg, I 12
- 72.6 deg, I 11

=====

# 3
Simulated powder diffraction line list of Sr2PtPb3 for Cu Kα, 1.54184 Å, from a cell relaxed with GGA-PBE.

```
Sr2PtPb3
1.0
4.1821 0.0000 0.0000
0.0000 5.0851 0.0000
0.0000 0.0000 8.7986
Sr Pt Pb
2 1 3
Direct
0.0000 0.0000 0.0000 Sr
0.0000 0.5000 0.4442 Sr
0.5000 0.0000 0.2824 Pt
0.5000 0.0000 0.5993 Pb
0.5000 0.5000 0.1484 Pb
0.5000 0.5000 0.7957 Pb
```

The 10 most intense peaks (2θ = 15–90°), in order of rising 2θ:
- 20.2 deg, I 19
- 21.2 deg, I 44
- 29.5 deg, I 100
- 35.3 deg, I 84
- 41.6 deg, I 48
- 43.3 deg, I 18
- 46.6 deg, I 25
- 57.0 deg, I 43
- 59.8 deg, I 22
- 79.9 deg, I 14